The following is a simulated powder XRD pattern of Na2SrV4O12. It was derived from a structure optimized by DFT (GGA+U), using Cu Kα, 1.54184 Å.
Lines closer than 0.1° are merged.

Crystal structure
```
data_Na2SrV4O12
_cell_length_a 10.7608
_cell_length_b 10.7608
_cell_length_c 5.0928
_cell_angle_alpha 90.00
_cell_angle_beta 90.00
_cell_angle_gamma 90.00
_space_group_name_H-M_alt 'P 4/n b m'
_space_group_IT_number 125
loop_
_space_group_symop_operation_xyz
'x,y,z'
'-x,-y,-z'
'-y+1/2,x,z'
'y+1/2,-x,-z'
'-x+1/2,-y+1/2,z'
'x+1/2,y+1/2,-z'
'y,-x+1/2,z'
'-y,x+1/2,-z'
'x,-y+1/2,-z'
'-x,y+1/2,z'
'-y+1/2,-x+1/2,-z'
'y+1/2,x+1/2,z'
'-x+1/2,y,-z'
'x+1/2,-y,z'
'y,x,-z'
'-y,-x,z'
loop_
_atom_site_label
_atom_site_fract_x
_atom_site_fract_y
_atom_site_fract_z
Na1 0.0000 0.0000 0.0000
Sr1 0.2500 0.2500 0.0000
V1 0.0326 0.7500 0.5000
O1 0.0534 0.1834 0.2630
O2 0.1316 0.6316 0.6505
```

Largest 8 diffraction maxima, in order of falling intensity, 10° ≤ 2θ ≤ 90°:
two_theta	I_rel	index
29.3	100	2 2 1
21.0	47	1 1 1
49.3	20	4 0 2
33.3	20	4 0 0
57.1	17	6 2 1
26.2	15	3 1 0
44.4	14	3 1 2
46.6	14	5 1 1